# 1
# Fe4Ni3P6O24
Simulated powder XRD pattern, CuKα. Input: a cell relaxed with GGA+U.
Kinematic intensities with the Lorentz-polarization factor, no thermal factor.

Cell and atoms:
Lattice parameters (Å, degrees): 6.380 8.005 9.328 104.49 108.50 101.23
Positions (direct):
Fe 0.047 0.224 0.026
Fe 0.388 0.952 0.618
Fe 0.612 0.048 0.382
Fe 0.953 0.776 0.974
Ni 0.000 0.500 0.500
Ni 0.270 0.302 0.779
Ni 0.730 0.698 0.221
P 0.091 0.096 0.334
P 0.234 0.647 0.274
P 0.398 0.725 0.872
P 0.602 0.275 0.128
P 0.766 0.353 0.726
P 0.909 0.904 0.666
O 0.022 0.693 0.167
O 0.064 0.052 0.154
O 0.116 0.288 0.422
O 0.126 0.033 0.663
O 0.211 0.449 0.207
O 0.231 0.694 0.447
O 0.249 0.773 0.967
O 0.275 0.537 0.738
O 0.308 0.037 0.415
O 0.367 0.270 0.002
O 0.452 0.865 0.792
O 0.462 0.764 0.276
O 0.538 0.236 0.724
O 0.548 0.135 0.208
O 0.633 0.730 0.998
O 0.692 0.963 0.585
O 0.725 0.463 0.262
O 0.751 0.227 0.033
O 0.769 0.306 0.553
O 0.789 0.551 0.793
O 0.874 0.967 0.337
O 0.884 0.712 0.578
O 0.936 0.948 0.846
O 0.978 0.307 0.833

Most intense lines, 2θ = 5–70°, low angle first:
d [Å]  2θ (°)  I_rel
4.792  18.52  23
4.310  20.61  29
3.127  28.54  46
3.025  29.53  100
3.011  29.67  27
2.946  30.34  74
2.695  33.24  44
2.606  34.42  20
1.945  46.69  23
1.850  49.25  24

=====

# 2
# FeNi3P4O16
Simulated powder XRD pattern, CuKα. Input: a cell relaxed with GGA+U.
Kinematic intensities with the Lorentz-polarization factor, no thermal factor.

Cell and atoms:
Lattice parameters (Å, degrees): 4.818 5.829 9.955 90.00 90.04 90.00
Positions (direct):
Fe 0.000 0.000 0.000
Ni 0.418 0.000 0.500
Ni 0.507 0.500 0.954
Ni 0.920 0.500 0.455
P 0.050 0.500 0.133
P 0.371 0.500 0.632
P 0.555 0.000 0.820
P 0.870 0.000 0.324
O 0.128 0.500 0.282
O 0.187 0.000 0.338
O 0.192 0.293 0.058
O 0.192 0.707 0.058
O 0.223 0.295 0.558
O 0.223 0.705 0.558
O 0.241 0.000 0.841
O 0.299 0.500 0.782
O 0.629 0.000 0.670
O 0.687 0.500 0.618
O 0.704 0.204 0.895
O 0.704 0.796 0.895
O 0.724 0.206 0.397
O 0.724 0.794 0.397
O 0.734 0.500 0.119
O 0.801 0.000 0.174

Most intense lines, 2θ = 5–70°, low angle first:
d [Å]  2θ (°)  I_rel
4.977  17.82  69
4.337  20.48  75
3.785  23.50  19
3.479  25.60  96
2.976  30.02  19
2.914  30.68  69
2.474  36.31  100
2.419  37.17  25
1.740  52.61  27
1.584  58.27  24

=====

# 3
# Fe3NiSb2P6O24
Simulated powder XRD pattern, CuKα. Input: a cell relaxed with GGA+U.
Kinematic intensities with the Lorentz-polarization factor, no thermal factor.

Cell and atoms:
Lattice parameters (Å, degrees): 8.793 8.793 8.793 59.35 59.35 59.35
Positions (direct):
Fe 0.000 0.000 0.000
Fe 0.203 0.203 0.203
Fe 0.501 0.501 0.501
Ni 0.703 0.703 0.703
Sb 0.350 0.350 0.350
Sb 0.847 0.847 0.847
P 0.104 0.811 0.393
P 0.311 0.602 0.894
P 0.393 0.104 0.811
P 0.602 0.894 0.311
P 0.811 0.393 0.104
P 0.894 0.311 0.602
O 0.042 0.847 0.241
O 0.089 0.286 0.436
O 0.114 0.767 0.912
O 0.161 0.967 0.357
O 0.241 0.042 0.847
O 0.267 0.618 0.414
O 0.286 0.436 0.089
O 0.345 0.545 0.738
O 0.357 0.161 0.967
O 0.414 0.267 0.618
O 0.436 0.089 0.286
O 0.461 0.659 0.865
O 0.545 0.738 0.345
O 0.591 0.939 0.793
O 0.618 0.414 0.267
O 0.659 0.865 0.461
O 0.738 0.345 0.545
O 0.767 0.912 0.114
O 0.793 0.591 0.939
O 0.847 0.241 0.042
O 0.865 0.461 0.659
O 0.912 0.114 0.767
O 0.939 0.793 0.591
O 0.967 0.357 0.161

Most intense lines, 2θ = 5–70°, low angle first:
d [Å]  2θ (°)  I_rel
6.187  14.32  19
4.354  20.40  100
3.728  23.87  57
3.560  25.01  25
2.778  32.23  89
2.514  35.72  38
1.962  46.27  26
1.864  48.87  33
1.646  55.87  24
1.497  61.99  25